Structure and calculated powder XRD pattern of Na6Tl2Cd3 (a DFT-relaxed cell (GGA-PBE, Alexandria); Cu Kα (λ = 1.5418 Å)).
Intensities are scaled so that the largest is 100.

Principal peaks in the range 2θ from 15° to 90°, in order of rising 2θ:
2θ 18.9, I = 55
2θ 21.7, I = 62
2θ 27.2, I = 25
2θ 30.5, I = 24
2θ 32.0, I = 100
2θ 33.8, I = 25
2θ 35.6, I = 29
2θ 35.7, I = 25
2θ 40.2, I = 54
2θ 45.4, I = 26

```
11
Lattice="6.3694 -7.5628 0.0000 6.3694 7.5628 0.0000 0.0000 0.0000 3.4805" Properties=species:S:1:pos:R:3 pbc="T T T"
Na 3.6296 1.9913 0.0000
Na 6.3694 5.1518 0.0000
Na 3.6296 -1.9913 0.0000
Na 9.1092 1.9913 0.0000
Na 6.3694 -5.1518 0.0000
Na 9.1092 -1.9913 0.0000
Tl 1.6035 0.0000 1.7402
Tl 11.1353 0.0000 1.7402
Cd 6.3694 2.4917 1.7402
Cd 6.3694 0.0000 0.0000
Cd 6.3694 -2.4917 1.7402
```

***

Structure and calculated powder XRD pattern of HfTl2PbS4 (a DFT-relaxed cell (GGA-PBE, Alexandria); Cu Kα (λ = 1.5418 Å)).
Intensities are scaled so that the largest is 100.

Principal peaks in the range 2θ from 15° to 90°, in order of rising 2θ:
2θ 24.0, I = 49
2θ 25.9, I = 39
2θ 27.2, I = 68
2θ 30.1, I = 50
2θ 30.3, I = 100
2θ 40.4, I = 21
2θ 42.0, I = 38
2θ 44.4, I = 34
2θ 48.3, I = 18
2θ 56.1, I = 17

```
8
Lattice="7.1658 0.0000 0.0000 0.0000 3.9336 0.0000 -2.1529 0.0000 7.4238" Properties=species:S:1:pos:R:3 pbc="T T T"
Hf 0.0000 0.0000 0.0000
Tl -1.0765 1.9668 3.7119
Tl 2.5064 0.0000 3.7119
Pb 3.5829 1.9668 0.0000
S 1.0275 1.9668 1.4166
S -0.0987 0.0000 5.9209
S 5.1116 0.0000 1.5029
S 3.9853 1.9668 6.0072
```

***

Structure and calculated powder XRD pattern of DyYMg6 (a DFT-relaxed cell (GGA-PBE, Alexandria); Cu Kα (λ = 1.5418 Å)).
Intensities are scaled so that the largest is 100.

Principal peaks in the range 2θ from 15° to 90°, in order of rising 2θ:
2θ 15.3, I = 39
2θ 23.0, I = 77
2θ 26.6, I = 34
2θ 30.9, I = 26
2θ 34.7, I = 24
2θ 35.5, I = 100
2θ 44.9, I = 24
2θ 47.1, I = 23
2θ 54.9, I = 25
2θ 66.6, I = 20

```
8
Lattice="5.1763 0.0000 0.0000 0.0000 3.3474 5.7929 0.0000 -3.3474 5.7929" Properties=species:S:1:pos:R:3 pbc="T T T"
Dy 0.0000 0.0000 0.0000
Y 2.5881 0.0000 7.7317
Mg 0.0000 -1.6319 2.9207
Mg 0.0000 1.6319 2.9207
Mg 0.0000 0.0000 5.7523
Mg 2.5881 0.0000 1.9748
Mg 2.5881 -1.6361 4.8134
Mg 2.5881 1.6361 4.8134
```

***

Structure and calculated powder XRD pattern of Pa2Ga2Pt3 (a DFT-relaxed cell (GGA-PBE, Alexandria); Cu Kα (λ = 1.5418 Å)).
Intensities are scaled so that the largest is 100.

Principal peaks in the range 2θ from 15° to 90°, in order of rising 2θ:
2θ 26.4, I = 17
2θ 30.1, I = 22
2θ 34.0, I = 100
2θ 34.6, I = 93
2θ 42.0, I = 26
2θ 45.8, I = 31
2θ 46.4, I = 18
2θ 47.2, I = 22
2θ 63.9, I = 15
2θ 74.2, I = 20

```
14
Lattice="1.9810 -9.7667 0.0000 1.9810 9.7667 0.0000 0.0000 0.0000 7.1938" Properties=species:S:1:pos:R:3 pbc="T T T"
Pa 1.9810 8.5070 5.3953
Pa 1.9810 6.8898 1.7984
Pa 1.9810 -6.8898 5.3953
Pa 1.9810 -8.5070 1.7984
Ga 1.9810 3.7696 0.3853
Ga 1.9810 3.7696 3.2116
Ga 1.9810 -3.7696 3.9822
Ga 1.9810 -3.7696 6.8085
Pt 1.9810 5.2441 5.3953
Pt 1.9810 1.2920 3.9198
Pt 1.9810 1.2920 6.8709
Pt 1.9810 -1.2920 0.3229
Pt 1.9810 -1.2920 3.2740
Pt 1.9810 -5.2441 1.7984
```

***

Structure and calculated powder XRD pattern of Pa5Ge4Se (a DFT-relaxed cell (GGA-PBE, Alexandria); Cu Kα (λ = 1.5418 Å)).
Intensities are scaled so that the largest is 100.

Principal peaks in the range 2θ from 15° to 90°, in order of rising 2θ:
2θ 26.5, I = 46
2θ 30.7, I = 100
2θ 43.8, I = 13
2θ 43.9, I = 63
2θ 54.4, I = 14
2θ 54.6, I = 13
2θ 63.9, I = 13
2θ 72.5, I = 23
2θ 80.6, I = 13
2θ 80.9, I = 13

```
10
Lattice="-2.0660 2.9140 10.2887 2.0660 -2.9140 10.2887 2.0660 2.9140 -10.2887" Properties=species:S:1:pos:R:3 pbc="T T T"
Pa 0.0000 0.0000 0.0000
Pa 0.0000 0.0000 4.1134
Pa 0.0000 0.0000 8.2208
Pa 0.0000 0.0000 12.3566
Pa 0.0000 0.0000 16.4641
Ge 2.0660 0.0000 2.0535
Ge 2.0660 0.0000 6.1747
Ge 0.0000 2.9140 4.1141
Ge 0.0000 2.9140 8.2352
Se 0.0000 2.9140 0.0000
```

***

Structure and calculated powder XRD pattern of Er2Au5F21 (a DFT-relaxed cell (GGA-PBE, Alexandria); Cu Kα (λ = 1.5418 Å)).
Intensities are scaled so that the largest is 100.

Principal peaks in the range 2θ from 15° to 90°, in order of rising 2θ:
2θ 22.1, I = 48
2θ 22.5, I = 45
2θ 23.5, I = 30
2θ 24.0, I = 33
2θ 24.1, I = 100
2θ 24.3, I = 41
2θ 24.6, I = 49
2θ 26.4, I = 53
2θ 26.9, I = 73
2θ 27.0, I = 39

```
56
Lattice="8.0465 0.0000 0.0000 0.1798 9.1805 0.0000 0.2637 0.1593 12.0112" Properties=species:S:1:pos:R:3 pbc="T T T"
Er 1.3283 1.6814 0.0027
Er 1.5418 2.9884 5.9608
Er 6.9483 6.3513 6.0504
Er 7.1619 7.6583 12.0085
Au 0.7914 4.7928 9.5019
Au 0.8729 9.1446 8.4412
Au 2.8661 6.6613 4.8637
Au 2.8790 7.1701 1.1118
Au 4.2756 7.0088 9.0577
Au 4.2145 2.3310 2.9535
Au 5.6111 2.1697 10.8994
Au 5.6240 2.6785 7.1475
Au 7.6173 0.1951 3.5700
Au 7.6987 4.5470 2.5093
F 0.0000 0.0000 0.0000
F 0.2218 4.6699 6.0056
F 0.2265 1.3283 5.0453
F 0.4963 3.5883 1.0162
F 0.6616 1.1829 2.2628
F 0.9065 6.7697 4.6136
F 0.8410 3.5765 3.7295
F 0.9258 6.8501 1.0346
F 1.5037 1.1106 9.8126
F 1.7726 3.8588 8.0736
F 1.7778 0.9678 7.1387
F 1.9343 3.7830 10.7537
F 2.8519 6.7951 10.3602
F 2.7696 9.0142 0.3617
F 2.9195 7.0592 7.6720
F 2.8545 4.7398 5.4190
F 2.9287 8.4793 4.2092
F 2.8256 2.0639 4.3481
F 2.9025 2.4026 1.4573
F 3.0434 5.4276 1.9415
F 3.6683 1.9128 10.7936
F 3.6690 2.6783 6.9105
F 4.8211 6.6614 5.1007
F 4.8218 7.4270 1.2176
F 5.4467 3.9122 10.0697
F 5.5876 6.9372 10.5539
F 5.6645 7.2758 7.6631
F 5.5614 0.8605 7.8020
F 5.6356 4.5999 6.5922
F 5.5706 2.2806 4.3392
F 5.7205 0.3256 11.6495
F 5.6382 2.5447 1.6510
F 6.5558 5.5568 1.2575
F 6.7123 8.3720 4.8725
F 6.7175 5.4809 3.9376
F 6.9864 8.2292 2.1986
F 7.5643 2.4897 10.9766
F 7.6491 5.7632 8.2817
F 7.5836 2.5700 7.3976
F 7.8285 8.1569 9.7484
F 7.9938 5.7515 10.9950
F 8.2636 8.0115 6.9659
```

***

Structure and calculated powder XRD pattern of Na2RhPb2 (a DFT-relaxed cell (GGA-PBE, Alexandria); Cu Kα (λ = 1.5418 Å)).
Intensities are scaled so that the largest is 100.

Principal peaks in the range 2θ from 15° to 90°, in order of rising 2θ:
2θ 16.2, I = 100
2θ 23.3, I = 25
2θ 23.9, I = 30
2θ 30.6, I = 28
2θ 32.6, I = 43
2θ 33.9, I = 64
2θ 36.3, I = 57
2θ 39.2, I = 39
2θ 39.2, I = 39
2θ 71.4, I = 33

```
20
Lattice="11.6209 0.0000 0.0000 0.0000 6.2476 0.0000 -1.2234 0.0000 7.4612" Properties=species:S:1:pos:R:3 pbc="T T T"
Na 0.1946 1.5579 0.9871
Na -0.4171 1.5659 4.7177
Na 2.8432 1.5619 3.3475
Na 2.2315 1.5618 7.0781
Na 8.1660 4.6857 0.3831
Na 7.5543 4.6856 4.1137
Na 10.8146 4.6817 2.7435
Na 10.2029 4.6897 6.4741
Rh 3.8250 4.6861 3.5063
Rh 3.2133 4.6852 7.2369
Rh 7.1842 1.5623 0.2243
Rh 6.5725 1.5614 3.9549
Pb 2.1213 4.6781 1.3114
Pb 1.5096 4.6933 5.0420
Pb 5.5019 0.0017 1.8646
Pb 4.8956 6.2458 5.5966
Pb 5.5073 3.1255 1.8660
Pb 4.8902 3.1221 5.5952
Pb 8.8879 1.5543 2.4192
Pb 8.2762 1.5695 6.1497
```

***

Structure and calculated powder XRD pattern of PaCdI6 (a DFT-relaxed cell (GGA-PBE, Alexandria); Cu Kα (λ = 1.5418 Å)).
Intensities are scaled so that the largest is 100.

Principal peaks in the range 2θ from 15° to 90°, in order of rising 2θ:
2θ 15.6, I = 51
2θ 23.5, I = 20
2θ 25.3, I = 19
2θ 28.0, I = 100
2θ 28.9, I = 47
2θ 35.7, I = 22
2θ 37.7, I = 33
2θ 40.6, I = 71
2θ 48.1, I = 21
2θ 51.9, I = 18

```
8
Lattice="3.7624 -7.1680 0.0000 3.7624 7.1680 0.0000 -2.6462 0.0000 7.0532" Properties=species:S:1:pos:R:3 pbc="T T T"
Pa 0.0000 0.0000 0.0000
Cd 2.4393 0.0000 3.5266
I 1.2550 2.1456 1.8012
I -0.1965 0.0000 5.3482
I 1.2550 -2.1456 1.8012
I 3.6235 2.1456 5.2520
I 5.0750 0.0000 1.7050
I 3.6235 -2.1456 5.2520
```

***

Repeat the fifth record exactly.
Structure and calculated powder XRD pattern of Pa5Ge4Se (a DFT-relaxed cell (GGA-PBE, Alexandria); Cu Kα (λ = 1.5418 Å)).
Intensities are scaled so that the largest is 100.

Principal peaks in the range 2θ from 15° to 90°, in order of rising 2θ:
2θ 26.5, I = 46
2θ 30.7, I = 100
2θ 43.8, I = 13
2θ 43.9, I = 63
2θ 54.4, I = 14
2θ 54.6, I = 13
2θ 63.9, I = 13
2θ 72.5, I = 23
2θ 80.6, I = 13
2θ 80.9, I = 13

```
10
Lattice="-2.0660 2.9140 10.2887 2.0660 -2.9140 10.2887 2.0660 2.9140 -10.2887" Properties=species:S:1:pos:R:3 pbc="T T T"
Pa 0.0000 0.0000 0.0000
Pa 0.0000 0.0000 4.1134
Pa 0.0000 0.0000 8.2208
Pa 0.0000 0.0000 12.3566
Pa 0.0000 0.0000 16.4641
Ge 2.0660 0.0000 2.0535
Ge 2.0660 0.0000 6.1747
Ge 0.0000 2.9140 4.1141
Ge 0.0000 2.9140 8.2352
Se 0.0000 2.9140 0.0000
```